Computed powder diffraction line list
Compound: KRb3Cr2Cl8
Radiation: Cu Kα (weighted mean of Kα1 and Kα2)
Structure: a structure optimized by DFT (GGA-PBE)
Lines closer than 0.1° are merged.

Unit cell a=7.6542 b=7.6542 c=9.5101 alpha=90.00 beta=90.00 gamma=120.00
Space group P-3m1 (No. 164)
Symmetry-distinct sites (fractional):
K1 0.0000 0.0000 0.0000 (multiplicity 1)
Rb1 0.0000 0.0000 0.5000 (multiplicity 1)
Rb2 0.3333 0.6667 0.1109 (multiplicity 2)
Cr1 0.3333 0.6667 0.6854 (multiplicity 2)
Cl1 0.1761 0.3521 0.8025 (multiplicity 6)
Cl2 0.3333 0.6667 0.4435 (multiplicity 2)

Largest 12 diffraction maxima, by angle, 15 to 90 degrees two-theta:
2θ/deg, I (rel.), index
23.0, 33, 0 1 2
23.2, 100, 1 1 0
28.5, 36, 0 2 1
30.0, 23, 1 1 2
31.3, 38, 1 0 3
32.9, 59, 2 0 2
40.7, 14, 1 2 2
40.8, 21, 3 0 0
46.2, 23, 2 1 3
47.0, 17, 0 2 4
47.5, 36, 2 2 0
64.4, 15, 4 1 0